[1]
Calculated powder X-ray diffraction pattern
Compound: Sm4AlSn4
Radiation: copper Kα
Structure: DFT lattice parameters and positions (GGA-PBE)
Peak positions follow from Bragg's law for the DFT cell and can differ from measured ones.

Atomic structure:
a b c (Å): 9.437 9.437 6.232
angles (deg): 90.00 90.00 90.00
Space group I4/m (No. 87)
Symmetry-distinct sites (fractional):
Sm: 0.085 0.273 0.000 (multiplicity 8)
Al: 0.000 0.000 0.500 (multiplicity 2)
Sn: 0.080 0.290 0.500 (multiplicity 8)

Most intense lines, 2θ = 10–90°, by angle:
2θ 26.72, I = 24, hkl 2 2 0
2θ 28.65, I = 54, hkl 0 0 2
2θ 29.94, I = 100, hkl 1 3 0
2θ 39.57, I = 17, hkl 2 2 2
2θ 41.92, I = 81, hkl 1 3 2
2θ 42.85, I = 27, hkl 4 2 0
2θ 52.36, I = 30, hkl 4 2 2
2θ 67.86, I = 20, hkl 1 3 4

---

[2]
Calculated powder X-ray diffraction pattern
Compound: Sm2AlSn
Radiation: copper Kα
Structure: DFT lattice parameters and positions (GGA-PBE)
Peak positions follow from Bragg's law for the DFT cell and can differ from measured ones.

Atomic structure:
a b c (Å): 8.567 9.844 9.923
angles (deg): 90.00 90.00 90.00
Space group Fmmm (No. 69)
Symmetry-distinct sites (fractional):
Sm: 0.200 0.000 0.000 (multiplicity 8)
Sm: 0.250 0.250 0.250 (multiplicity 8)
Al: 0.000 0.214 0.500 (multiplicity 8)
Sn: 0.000 0.000 0.293 (multiplicity 8)

Most intense lines, 2θ = 10–90°, by angle:
2θ 25.49, I = 18, hkl 0 2 2
2θ 30.36, I = 13, hkl 1 1 3
2θ 33.08, I = 100, hkl 2 2 2
2θ 33.91, I = 15, hkl 3 1 1
2θ 36.21, I = 18, hkl 0 0 4
2θ 36.51, I = 23, hkl 0 4 0
2θ 56.97, I = 13, hkl 4 4 0
2θ 63.55, I = 14, hkl 2 6 2

---

[3]
Calculated powder X-ray diffraction pattern
Compound: Sm3Al2Sn2
Radiation: copper Kα
Structure: DFT lattice parameters and positions (GGA-PBE)
Peak positions follow from Bragg's law for the DFT cell and can differ from measured ones.

Atomic structure:
a b c (Å): 4.324 4.476 19.376
angles (deg): 90.00 90.00 90.00
Space group Immm (No. 71)
Symmetry-distinct sites (fractional):
Sm: 0.000 0.000 0.000 (multiplicity 2)
Sm: 0.000 0.500 0.316 (multiplicity 4)
Al: 0.000 0.000 0.436 (multiplicity 4)
Sn: 0.000 0.500 0.149 (multiplicity 4)

Most intense lines, 2θ = 10–90°, by angle:
2θ 27.62, I = 42, hkl 0 0 6
2θ 28.71, I = 30, hkl 1 1 0
2θ 30.18, I = 100, hkl 1 1 2
2θ 30.51, I = 46, hkl 0 1 5
2θ 34.27, I = 47, hkl 1 1 4
2θ 38.62, I = 32, hkl 1 0 7
2θ 40.28, I = 52, hkl 0 2 0
2θ 41.78, I = 27, hkl 2 0 0

---

[4]
Calculated powder X-ray diffraction pattern
Compound: Sm3Al2Sn4
Radiation: copper Kα
Structure: DFT lattice parameters and positions (GGA-PBE)
Peak positions follow from Bragg's law for the DFT cell and can differ from measured ones.

Atomic structure:
a b c (Å): 4.605 6.963 8.331
angles (deg): 69.11 73.97 89.97
Space group P-1 (No. 2)
Symmetry-distinct sites (fractional):
Sm: 0.000 0.000 0.000 (multiplicity 1)
Sm: 0.132 0.630 0.735 (multiplicity 2)
Al: 0.341 0.013 0.317 (multiplicity 2)
Sn: 0.214 0.239 0.573 (multiplicity 2)
Sn: 0.480 0.690 0.040 (multiplicity 2)

Most intense lines, 2θ = 10–90°, by angle:
2θ 25.65, I = 26, hkl 0 2 1
2θ 26.42, I = 42, hkl 1 0 2
2θ 32.52, I = 38, hkl 1 -2 0
2θ 32.90, I = 100, hkl 1 1 -1
2θ 33.19, I = 78, hkl 1 2 2
2θ 33.58, I = 31, hkl 0 1 3
2θ 34.21, I = 29, hkl -1 1 2
2θ 39.12, I = 43, hkl 2 0 1

---

Number 2 is which compound?
Sm2AlSn